[1]
Starting from a GGA-PBE-relaxed structure, the X-ray powder pattern of CaSb2Pb was computed for Cu Kα (weighted mean of Kα1 and Kα2).
Lines closer than 0.1° are merged.

```
data_CaSb2Pb
_chemical_formula_sum 'Ca4 Sb8 Pb4'
_space_group_name_H-M_alt 'I b a m'
_space_group_IT_number 72
_space_group_name_Hall '-I 2 2c'
_cell_length_a 6.7768
_cell_length_b 8.1184
_cell_length_c 8.5445
_cell_angle_alpha 90.00
_cell_angle_beta 90.00
_cell_angle_gamma 90.00
loop_
_atom_site_label
_atom_site_type_symbol
_atom_site_fract_x
_atom_site_fract_y
_atom_site_fract_z
Ca1 Ca 0.0000 0.0000 0.2500
Sb1 Sb 0.2380 0.2564 0.0000
Pb1 Pb 0.0000 0.5000 0.2500
```

Principal peaks in the range 2θ from 10° to 90°, by angle:
17.04 deg, rel. 41, hkl 1 1 0
27.01 deg, rel. 28, hkl 1 1 2
30.38 deg, rel. 100, hkl 0 2 2
33.76 deg, rel. 74, hkl 2 0 2
34.48 deg, rel. 70, hkl 2 2 0
41.70 deg, rel. 10, hkl 1 3 2
42.31 deg, rel. 20, hkl 0 0 4
44.65 deg, rel. 17, hkl 0 4 0
55.68 deg, rel. 35, hkl 2 2 4
57.13 deg, rel. 32, hkl 2 4 2
63.19 deg, rel. 12, hkl 0 4 4
63.34 deg, rel. 23, hkl 4 2 2

---

[2]
Starting from a GGA-PBE-relaxed structure, the X-ray powder pattern of LaY7Ho5 was computed for Cu Kα (weighted mean of Kα1 and Kα2).
Lines closer than 0.1° are merged.

```
data_LaY7Ho5
_chemical_formula_sum 'La2 Y14 Ho10'
_space_group_name_H-M_alt 'I m m 2'
_space_group_IT_number 44
_space_group_name_Hall 'I 2 -2'
_cell_length_a 6.6661
_cell_length_b 11.2169
_cell_length_c 11.6335
_cell_angle_alpha 90.00
_cell_angle_beta 90.00
_cell_angle_gamma 90.00
loop_
_atom_site_label
_atom_site_type_symbol
_atom_site_fract_x
_atom_site_fract_y
_atom_site_fract_z
La1 La 0.0000 0.0000 0.0000
Y1 Y 0.0000 0.0000 0.2975
Y2 Y 0.0000 0.0000 0.6095
Y3 Y 0.0000 0.3269 0.0546
Y4 Y 0.0000 0.3324 0.5565
Y5 Y 0.0000 0.5000 0.2977
Ho1 Ho 0.0000 0.5000 0.8117
Ho2 Ho 0.2358 0.2316 0.8029
```

Principal peaks in the range 2θ from 10° to 90°, by angle:
15.24 deg, rel. 45, hkl 0 0 2
30.74 deg, rel. 71, hkl 0 0 4
30.92 deg, rel. 50, hkl 2 0 2
31.22 deg, rel. 69, hkl 2 2 0
31.45 deg, rel. 71, hkl 1 3 2
31.91 deg, rel. 33, hkl 0 4 0
34.91 deg, rel. 100, hkl 2 2 2
35.54 deg, rel. 42, hkl 0 4 2
44.38 deg, rel. 38, hkl 2 2 4
56.43 deg, rel. 28, hkl 2 6 0
57.38 deg, rel. 39, hkl 2 2 6
65.64 deg, rel. 25, hkl 2 6 4